Theoretical XRD peak list
Compound: KAsW2O9
Radiation: Cu Ka
Structure: a DFT-relaxed cell (PBE+U, Alexandria)

Structure:
Cell lengths 5.0908, 9.2937, 17.2798 Å; angles 90.00, 90.00, 90.00 degrees
Fractional coordinates of all 52 atoms:
K1 0.1985 0.0581 0.4099
K2 0.3015 0.9419 0.9099
K3 0.6985 0.4419 0.5901
K4 0.8015 0.5581 0.0901
As1 0.1396 0.2691 0.2244
As2 0.3604 0.7309 0.7244
As3 0.6395 0.2309 0.7756
As4 0.8604 0.7691 0.2756
W1 0.1100 0.0649 0.6672
W2 0.1289 0.6334 0.4498
W3 0.3711 0.3666 0.9498
W4 0.3900 0.9351 0.1672
W5 0.6100 0.4351 0.3328
W6 0.6289 0.8666 0.5502
W7 0.8711 0.1334 0.0502
W8 0.8900 0.5649 0.8328
O1 0.0204 0.7061 0.8883
O2 0.0221 0.2927 0.1332
O3 0.0990 0.8084 0.2078
O4 0.1024 0.6098 0.7362
O5 0.1408 0.2129 0.9799
O6 0.1452 0.4231 0.8636
O7 0.1506 0.0101 0.0930
O8 0.2354 0.0971 0.2462
O9 0.2382 0.5009 0.5151
O10 0.2618 0.4991 0.0151
O11 0.2646 0.9029 0.7462
O12 0.3494 0.9899 0.5930
O13 0.3548 0.5769 0.3636
O14 0.3592 0.7871 0.4799
O15 0.3976 0.3902 0.2362
O16 0.4010 0.1916 0.7078
O17 0.4779 0.7073 0.6332
O18 0.4796 0.2939 0.3883
O19 0.5204 0.7939 0.1117
O20 0.5221 0.2073 0.8668
O21 0.5990 0.6916 0.7922
O22 0.6024 0.8902 0.2638
O23 0.6408 0.2871 0.0201
O24 0.6452 0.0769 0.1364
O25 0.6506 0.4899 0.9070
O26 0.7354 0.4029 0.7538
O27 0.7382 0.9991 0.4849
O28 0.7618 0.0009 0.9849
O29 0.7646 0.5971 0.2538
O30 0.8494 0.5101 0.4070
O31 0.8548 0.9231 0.6364
O32 0.8592 0.7129 0.5201
O33 0.8976 0.1098 0.7638
O34 0.9010 0.3084 0.2922
O35 0.9779 0.7927 0.3668
O36 0.9796 0.2061 0.6117

Most intense lines, 10 to 80 degrees two-theta, in order of falling intensity:
(0 1 2), 14.00°, intensity 100
(1 1 3), 25.24°, intensity 65
(1 2 1), 26.48°, intensity 62
(0 1 1), 10.81°, intensity 52
(1 1 2), 22.41°, intensity 51
(1 0 4), 27.07°, intensity 44
(1 2 0), 25.96°, intensity 29
(1 0 5), 31.28°, intensity 26
(0 2 5), 32.28°, intensity 25
(0 2 3), 24.62°, intensity 24